1.
For Li2MnVP2H2O10, a DFT-relaxed cell (GGA+U, Alexandria) gives the theoretical X-ray powder pattern in this record (Cu Kα (weighted mean of Kα1 and Kα2)).
Peak positions follow from Bragg's law for the DFT cell and can differ from measured ones.

Atomic structure:
a b c (Å): 5.1580 5.5029 7.3343
angles (deg): 107.72 106.69 99.50
Space group P-1 (No. 2)
Symmetry-distinct sites (fractional):
Li 0.2436 0.3870 0.3250
Mn 0.5000 0.0000 0.0000
V 0.5000 0.0000 0.5000
P 0.1727 0.3687 0.7341
H 0.1410 0.9219 0.1534
O 0.1325 0.7423 0.4279
O 0.1934 0.6682 0.8347
O 0.2128 0.2271 0.8860
O 0.3393 0.0390 0.2196
O 0.3825 0.3387 0.6161

The 6 most intense peaks (10 to 80 degrees two-theta), low angle first:
d_spacing	Rel. int.	h k l
4.740	77	1 0 0
3.436	37	1 -1 1
3.368	100	0 1 -2
3.296	69	1 0 -2
3.058	82	1 1 0
2.534	66	1 -2 0



2.
For LiMnVP2H2O10, a DFT-relaxed cell (GGA+U, Alexandria) gives the theoretical X-ray powder pattern in this record (Cu Kα (weighted mean of Kα1 and Kα2)).
Peak positions follow from Bragg's law for the DFT cell and can differ from measured ones.

Atomic structure:
a b c (Å): 5.1662 5.3160 7.3481
angles (deg): 108.42 107.78 93.41
Space group P1 (No. 1)
Symmetry-distinct sites (fractional):
Li 0.0000 0.0000 0.0000
Mn 0.0003 0.5006 0.0016
V 0.5002 0.0006 0.5013
P 0.3966 0.5981 0.7577
P 0.6040 0.4030 0.2451
H 0.0012 0.1189 0.6823
H 0.9993 0.8835 0.3202
O 0.1526 0.8784 0.2665
O 0.1886 0.6778 0.8707
O 0.3053 0.3174 0.0899
O 0.3289 0.2893 0.6419
O 0.3595 0.7559 0.6102
O 0.6411 0.2453 0.3927
O 0.6715 0.7118 0.3608
O 0.6952 0.6836 0.9128
O 0.8120 0.3233 0.1321
O 0.8481 0.1229 0.7362

The 6 most intense peaks (10 to 80 degrees two-theta), low angle first:
d_spacing	Rel. int.	h k l
4.860	64	0 1 -1
4.750	37	1 0 -1
3.421	83	0 1 1
3.381	100	1 0 1
3.293	70	-1 1 1
3.096	84	1 1 -2



3.
For Li2MnVP2H2O10, a DFT-relaxed cell (GGA+U, Alexandria) gives the theoretical X-ray powder pattern in this record (Cu Kα (weighted mean of Kα1 and Kα2)).
Peak positions follow from Bragg's law for the DFT cell and can differ from measured ones.

Atomic structure:
a b c (Å): 6.8802 7.5323 7.8320
angles (deg): 115.97 92.50 91.23
Space group P1 (No. 1)
Symmetry-distinct sites (fractional):
Li 0.0000 0.0000 0.0000
Li 0.1872 0.3182 0.9688
Li 0.4959 0.5064 0.4882
Li 0.6849 0.8245 0.4579
Mn 0.0922 0.1603 0.4813
Mn 0.3409 0.9124 0.7269
V 0.5906 0.6645 0.9774
V 0.8441 0.4117 0.2321
P 0.2482 0.6784 0.2614
P 0.4351 0.1388 0.1947
P 0.7435 0.1864 0.7714
P 0.9416 0.6468 0.6901
H 0.2934 0.5976 0.7452
H 0.3834 0.2280 0.7026
H 0.7997 0.0926 0.2629
H 0.8905 0.7294 0.2048
O 0.0678 0.8289 0.7056
O 0.0714 0.4778 0.6726
O 0.1165 0.8481 0.2828
O 0.1215 0.4975 0.2476
O 0.2599 0.1523 0.6949
O 0.2818 0.0868 0.0282
O 0.3381 0.2226 0.3899
O 0.3473 0.5924 0.0669
O 0.4033 0.7367 0.4279
O 0.4190 0.6753 0.7593
O 0.5636 0.9627 0.1663
O 0.5672 0.3182 0.2146
O 0.6126 0.0051 0.7493
O 0.6176 0.3616 0.7952
O 0.7660 0.6498 0.1871
O 0.7924 0.5855 0.5153
O 0.8331 0.7321 0.8780
O 0.8488 0.1028 0.5815
O 0.8921 0.2398 0.9449
O 0.9233 0.1685 0.2719

The 6 most intense peaks (10 to 80 degrees two-theta), low angle first:
d_spacing	Rel. int.	h k l
4.773	20	1 0 1
4.714	25	1 1 0
3.515	20	0 0 2
3.329	100	1 -2 1
3.051	48	2 1 -1
2.547	34	-1 1 2